Record 1
Calculated powder X-ray diffraction pattern of MgFe4P12O36 for CuKα, from the PBE+U geometry in the Materials Project.

Structure:
```
data_MgFe4P12O36
_cell_length_a 8.675
_cell_length_b 8.735
_cell_length_c 8.808
_cell_angle_alpha 89.58
_cell_angle_beta 89.34
_cell_angle_gamma 88.63
_space_group_name_H-M_alt 'P 1'
_space_group_IT_number 1
_space_group_name_Hall 'P 1'
loop_
_atom_site_label
_atom_site_fract_x
_atom_site_fract_y
_atom_site_fract_z
_atom_site_occupancy
Mg1 0.000 0.000 0.000 1
Fe1 0.180 0.924 0.678 1
Fe2 0.395 0.415 0.992 1
Fe3 0.678 0.664 0.494 1
Fe4 0.865 0.196 0.221 1
P1 0.022 0.479 0.039 1
P2 0.048 0.613 0.538 1
P3 0.216 0.979 0.283 1
P4 0.224 0.743 0.038 1
P5 0.344 0.498 0.397 1
P6 0.355 0.255 0.652 1
P7 0.509 0.105 0.169 1
P8 0.547 0.978 0.657 1
P9 0.705 0.826 0.142 1
P10 0.722 0.582 0.894 1
P11 0.819 0.121 0.800 1
P12 0.861 0.340 0.538 1
O1 0.077 0.647 0.089 1
O2 0.108 0.074 0.184 1
O3 0.124 0.692 0.666 1
O4 0.159 0.395 0.969 1
O5 0.169 0.868 0.932 1
O6 0.169 0.939 0.440 1
O7 0.172 0.573 0.405 1
O8 0.219 0.162 0.695 1
O9 0.265 0.821 0.196 1
O10 0.322 0.344 0.496 1
O11 0.355 0.643 0.983 1
O12 0.371 0.452 0.235 1
O13 0.379 0.061 0.291 1
O14 0.414 0.366 0.768 1
O15 0.416 0.898 0.730 1
O16 0.436 0.195 0.040 1
O17 0.455 0.603 0.474 1
O18 0.495 0.143 0.589 1
O19 0.560 0.940 0.103 1
O20 0.620 0.471 0.976 1
O21 0.637 0.174 0.255 1
O22 0.642 0.892 0.538 1
O23 0.659 0.037 0.790 1
O24 0.664 0.717 0.267 1
O25 0.698 0.622 0.730 1
O26 0.723 0.742 0.982 1
O27 0.732 0.438 0.475 1
O28 0.801 0.270 0.698 1
O29 0.839 0.172 0.963 1
O30 0.847 0.921 0.156 1
O31 0.900 0.522 0.908 1
O32 0.909 0.691 0.466 1
O33 0.923 0.210 0.445 1
O34 0.942 0.409 0.172 1
O35 0.948 0.009 0.761 1
O36 0.999 0.444 0.596 1
```

Most intense lines, 2θ from 10° to 90°, by angle:
- 20.16 deg, intensity 16
- 22.56 deg, intensity 50
- 22.68 deg, intensity 100
- 23.12 deg, intensity 33
- 24.63 deg, intensity 14
- 24.90 deg, intensity 18
- 25.18 deg, intensity 26
- 32.08 deg, intensity 13
- 32.37 deg, intensity 27
- 32.47 deg, intensity 13

---

Record 2
Calculated powder X-ray diffraction pattern of VCoP2O8 for CuKα, from the PBE+U geometry in the Materials Project.

Structure:
```
data_VCoP2O8
_cell_length_a 4.892
_cell_length_b 5.959
_cell_length_c 9.918
_cell_angle_alpha 90.00
_cell_angle_beta 90.77
_cell_angle_gamma 90.00
_space_group_name_H-M_alt 'P 1 21/m 1'
_space_group_IT_number 11
_space_group_name_Hall '-P 2yb'
loop_
_atom_site_label
_atom_site_fract_x
_atom_site_fract_y
_atom_site_fract_z
_atom_site_occupancy
V1 0.018 0.250 0.225 1
Co1 0.463 0.250 0.733 1
P1 0.076 0.750 0.096 1
P2 0.400 0.750 0.601 1
O1 0.154 0.750 0.941 1
O2 0.221 0.544 0.164 1
O3 0.230 0.250 0.894 1
O4 0.245 0.552 0.674 1
O5 0.291 0.250 0.360 1
O6 0.366 0.750 0.450 1
```

Most intense lines, 2θ from 10° to 90°, by angle:
- 17.89 deg, intensity 98
- 20.13 deg, intensity 46
- 20.35 deg, intensity 76
- 23.34 deg, intensity 42
- 25.12 deg, intensity 52
- 25.29 deg, intensity 64
- 29.99 deg, intensity 100
- 35.90 deg, intensity 73
- 36.28 deg, intensity 59
- 48.13 deg, intensity 30

---

Record 3
Calculated powder X-ray diffraction pattern of Li2TiFeO4 for CuKα, from the PBE+U geometry in the Materials Project.

Structure:
```
data_Li2TiFeO4
_cell_length_a 5.349
_cell_length_b 5.871
_cell_length_c 9.907
_cell_angle_alpha 87.86
_cell_angle_beta 83.17
_cell_angle_gamma 88.63
_space_group_name_H-M_alt 'P 1'
_space_group_IT_number 1
_space_group_name_Hall 'P 1'
loop_
_atom_site_label
_atom_site_fract_x
_atom_site_fract_y
_atom_site_fract_z
_atom_site_occupancy
Li1 0.000 0.000 0.000 1
Li2 0.021 0.254 0.498 1
Li3 0.248 0.505 0.251 1
Li4 0.292 0.756 0.745 1
Li5 0.496 0.005 0.500 1
Li6 0.561 0.257 0.988 1
Li7 0.747 0.496 0.750 1
Li8 0.805 0.759 0.241 1
Ti1 0.009 0.760 0.519 1
Ti2 0.258 0.258 0.772 1
Ti3 0.506 0.762 0.023 1
Ti4 0.756 0.264 0.272 1
Fe1 0.005 0.499 0.997 1
Fe2 0.254 0.010 0.246 1
Fe3 0.491 0.506 0.502 1
Fe4 0.751 0.993 0.748 1
O1 0.063 0.252 0.142 1
O2 0.115 0.989 0.624 1
O3 0.118 0.504 0.625 1
O4 0.162 0.752 0.109 1
O5 0.303 0.758 0.388 1
O6 0.368 0.004 0.877 1
O7 0.369 0.490 0.872 1
O8 0.413 0.261 0.362 1
O9 0.563 0.240 0.644 1
O10 0.619 0.994 0.123 1
O11 0.621 0.508 0.126 1
O12 0.658 0.742 0.606 1
O13 0.811 0.745 0.892 1
O14 0.865 0.011 0.377 1
O15 0.866 0.494 0.373 1
O16 0.912 0.247 0.859 1
```

Most intense lines, 2θ from 10° to 90°, by angle:
- 23.18 deg, intensity 95
- 24.02 deg, intensity 100
- 36.53 deg, intensity 16
- 36.68 deg, intensity 16
- 36.93 deg, intensity 23
- 37.46 deg, intensity 15
- 40.48 deg, intensity 58
- 42.55 deg, intensity 52
- 44.48 deg, intensity 48
- 61.69 deg, intensity 26

---

Record 4
Calculated powder X-ray diffraction pattern of NaLi5Fe2P2C2O14 for CuKα, from the PBE+U geometry in the Materials Project.

Structure:
```
data_NaLi5Fe2P2C2O14
_cell_length_a 8.547
_cell_length_b 6.531
_cell_length_c 10.076
_cell_angle_alpha 90.00
_cell_angle_beta 94.09
_cell_angle_gamma 90.00
_space_group_name_H-M_alt 'P 1 21 1'
_space_group_IT_number 4
_space_group_name_Hall 'P 2yb'
loop_
_atom_site_label
_atom_site_fract_x
_atom_site_fract_y
_atom_site_fract_z
_atom_site_occupancy
Na1 0.245 0.000 0.127 1
Li1 0.224 0.476 0.121 1
Li2 0.227 0.018 0.625 1
Li3 0.227 0.477 0.624 1
Li4 0.410 0.261 0.377 1
Li5 0.412 0.240 0.873 1
Fe1 0.157 0.742 0.891 1
Fe2 0.163 0.750 0.396 1
P1 0.089 0.256 0.358 1
P2 0.091 0.242 0.854 1
C1 0.459 0.757 0.853 1
C2 0.466 0.746 0.359 1
O1 0.070 0.255 0.699 1
O2 0.071 0.727 0.088 1
O3 0.072 0.269 0.203 1
O4 0.077 0.753 0.591 1
O5 0.188 0.429 0.910 1
O6 0.190 0.064 0.402 1
O7 0.191 0.438 0.416 1
O8 0.199 0.056 0.894 1
O9 0.347 0.734 0.759 1
O10 0.357 0.742 0.261 1
O11 0.388 0.244 0.669 1
O12 0.399 0.281 0.179 1
O13 0.424 0.754 0.977 1
O14 0.425 0.753 0.480 1
```

Most intense lines, 2θ from 10° to 90°, by angle:
- 10.38 deg, intensity 100
- 17.10 deg, intensity 27
- 19.86 deg, intensity 35
- 21.15 deg, intensity 43
- 25.21 deg, intensity 25
- 26.44 deg, intensity 38
- 27.31 deg, intensity 99
- 35.74 deg, intensity 30
- 36.56 deg, intensity 27
- 40.00 deg, intensity 26

---

Record 5
Calculated powder X-ray diffraction pattern of Li9Co7O16 for CuKα, from the PBE+U geometry in the Materials Project.

Structure:
```
data_Li9Co7O16
_cell_length_a 5.873
_cell_length_b 6.622
_cell_length_c 7.650
_cell_angle_alpha 90.23
_cell_angle_beta 100.54
_cell_angle_gamma 103.17
_space_group_name_H-M_alt 'P -1'
_space_group_IT_number 2
_space_group_name_Hall '-P 1'
loop_
_atom_site_label
_atom_site_fract_x
_atom_site_fract_y
_atom_site_fract_z
_atom_site_occupancy
Li1 0.000 0.000 0.000 1
Li2 0.000 0.500 0.500 1
Li3 0.126 0.132 0.377 1
Li4 0.245 0.257 0.740 1
Li5 0.376 0.375 0.123 1
Li6 0.500 0.500 0.500 1
Co1 0.120 0.623 0.873 1
Co2 0.248 0.744 0.257 1
Co3 0.369 0.870 0.624 1
Co4 0.500 0.000 0.000 1
O1 0.053 0.335 0.940 1
O2 0.086 0.815 0.434 1
O3 0.164 0.439 0.293 1
O4 0.184 0.913 0.819 1
O5 0.299 0.576 0.706 1
O6 0.336 0.057 0.187 1
O7 0.407 0.692 0.056 1
O8 0.445 0.186 0.566 1
```

Most intense lines, 2θ from 10° to 90°, by angle:
- 18.39 deg, intensity 100
- 35.77 deg, intensity 15
- 36.08 deg, intensity 14
- 36.42 deg, intensity 13
- 37.61 deg, intensity 8
- 43.28 deg, intensity 28
- 43.74 deg, intensity 27
- 44.08 deg, intensity 26
- 47.84 deg, intensity 9
- 63.22 deg, intensity 15

---

Record 6
Calculated powder X-ray diffraction pattern of Ba2Co2O5 for CuKα, from the PBE+U geometry in the Materials Project.

Structure:
```
data_Ba2Co2O5
_cell_length_a 17.432
_cell_length_b 5.691
_cell_length_c 5.658
_cell_angle_alpha 90.00
_cell_angle_beta 90.00
_cell_angle_gamma 90.00
_space_group_name_H-M_alt 'I m a 2'
_space_group_IT_number 46
_space_group_name_Hall 'I 2 -2a'
loop_
_atom_site_label
_atom_site_fract_x
_atom_site_fract_y
_atom_site_fract_z
_atom_site_occupancy
Ba1 0.111 0.003 0.000 1
Co1 0.000 0.000 0.500 1
Co2 0.250 0.567 0.973 1
O1 0.002 0.749 0.748 1
O2 0.153 0.021 0.506 1
O3 0.250 0.647 0.643 1
```

Most intense lines, 2θ from 10° to 90°, by angle:
- 22.16 deg, intensity 13
- 30.28 deg, intensity 100
- 31.44 deg, intensity 26
- 31.63 deg, intensity 29
- 38.25 deg, intensity 14
- 41.44 deg, intensity 14
- 45.20 deg, intensity 26
- 55.25 deg, intensity 16
- 55.49 deg, intensity 19
- 62.98 deg, intensity 12